Entry 1:
For Ta2InGaPd2, a structure optimized by DFT (PBE) gives the simulated powder diffractogram in this record (Cu Kα).

Crystal structure
```
data_Ta2InGaPd2
_space_group_name_H-M_alt 'P 1 m 1'
_space_group_IT_number 6
_cell_length_a 10.6257
_cell_length_b 4.3354
_cell_length_c 10.6376
_cell_angle_alpha 90.00
_cell_angle_beta 109.51
_cell_angle_gamma 90.00
loop_
_space_group_symop_operation_xyz
'x,y,z'
'x,-y,z'
loop_
_atom_site_label
_atom_site_fract_x
_atom_site_fract_y
_atom_site_fract_z
Ta1 0.0000 0.0000 0.0000
Ta2 0.1211 0.5000 0.3659
Ta3 0.2512 0.0000 0.7440
Ta4 0.3721 0.5000 0.1185
Ta5 0.4941 0.0000 0.4888
Ta6 0.6268 0.5000 0.8763
Ta7 0.7516 0.0000 0.2435
Ta8 0.8767 0.5000 0.6142
In1 0.1240 0.5000 0.8702
In2 0.3730 0.5000 0.6192
In3 0.6245 0.5000 0.3668
In4 0.7506 0.0000 0.7462
Ga1 0.2482 0.0000 0.2427
Ga2 0.5001 0.0000 0.9944
Ga3 0.8745 0.5000 0.1190
Ga4 0.9986 0.0000 0.4919
Pd1 0.0006 0.0000 0.7373
Pd2 0.1232 0.5000 0.1239
Pd3 0.2419 0.0000 0.4869
Pd4 0.3804 0.5000 0.8753
Pd5 0.4929 0.0000 0.2367
Pd6 0.6236 0.5000 0.6182
Pd7 0.7511 0.0000 0.0015
Pd8 0.8787 0.5000 0.3667
```

Top 6 peaks for 10 to 90 degrees two-theta, in order of rising 2θ:
2theta  d_spacing  I/Imax  index
25.1  3.542  33  1 0 -3
29.1  3.068  25  2 0 2
41.6  2.169  100  0 2 0
49.3  1.850  16  1 2 -3
60.3  1.534  16  4 2 -4
76.0  1.252  19  4 3 0



Entry 2:
For NaHf3Ge5, a structure optimized by DFT (PBE) gives the simulated powder diffractogram in this record (Cu Kα).

Crystal structure
```
data_NaHf3Ge5
_space_group_name_H-M_alt 'P 6/m m m'
_space_group_IT_number 191
_space_group_name_Hall '-P 6 2'
_cell_length_a 5.8482
_cell_length_b 5.8482
_cell_length_c 6.8454
_cell_angle_alpha 90.00
_cell_angle_beta 90.00
_cell_angle_gamma 120.00
loop_
_atom_site_label
_atom_site_fract_x
_atom_site_fract_y
_atom_site_fract_z
Na1 0.0000 0.0000 0.0000
Hf1 0.0000 0.5000 0.5000
Ge1 0.0000 0.0000 0.5000
Ge2 0.3333 0.6667 0.1763
```

Top 6 peaks for 10 to 90 degrees two-theta, in order of rising 2θ:
2theta  d_spacing  I/Imax  index
12.9  6.845  100  0 0 1
17.5  5.065  41  1 0 0
35.4  2.532  32  2 0 0
37.9  2.375  97  2 0 1
39.5  2.282  26  0 0 3
44.5  2.036  76  2 0 2



Entry 3:
For YLu6Co2Te2, a structure optimized by DFT (PBE) gives the simulated powder diffractogram in this record (Cu Kα).

Crystal structure
```
data_YLu6Co2Te2
_space_group_name_H-M_alt 'I m m 2'
_space_group_IT_number 44
_cell_length_a 3.7912
_cell_length_b 15.3651
_cell_length_c 9.2941
_cell_angle_alpha 90.00
_cell_angle_beta 90.00
_cell_angle_gamma 90.00
loop_
_space_group_symop_operation_xyz
'x,y,z'
'-x,-y,z'
'-x,y,z'
'x,-y,z'
'x+1/2,y+1/2,z+1/2'
'-x+1/2,-y+1/2,z+1/2'
'-x+1/2,y+1/2,z+1/2'
'x+1/2,-y+1/2,z+1/2'
loop_
_atom_site_label
_atom_site_fract_x
_atom_site_fract_y
_atom_site_fract_z
Y1 0.0000 0.0000 0.0000
Lu1 0.0000 0.1358 0.4188
Lu2 0.0000 0.3134 0.6262
Lu3 0.0000 0.3495 0.2708
Co1 0.0000 0.2383 0.9298
Te1 0.0000 0.0000 0.6622
Te2 0.0000 0.5000 0.7690
```

Top 6 peaks for 10 to 90 degrees two-theta, in order of rising 2θ:
2theta  d_spacing  I/Imax  index
31.0  2.885  45  1 1 2
33.8  2.651  88  0 3 3
34.6  2.591  100  1 4 1
35.2  2.548  68  1 3 2
48.0  1.896  30  2 0 0
60.0  1.542  34  2 3 3



Entry 4:
For PrErZn2As2O2, a structure optimized by DFT (PBE) gives the simulated powder diffractogram in this record (Cu Kα).

Crystal structure
```
data_PrErZn2As2O2
_space_group_name_H-M_alt 'P 4 m m'
_space_group_IT_number 99
_cell_length_a 3.9964
_cell_length_b 3.9964
_cell_length_c 8.9610
_cell_angle_alpha 90.00
_cell_angle_beta 90.00
_cell_angle_gamma 90.00
loop_
_space_group_symop_operation_xyz
'x,y,z'
'-y,x,z'
'-x,-y,z'
'y,-x,z'
'-x,y,z'
'y,x,z'
'x,-y,z'
'-y,-x,z'
loop_
_atom_site_label
_atom_site_fract_x
_atom_site_fract_y
_atom_site_fract_z
Pr1 0.0000 0.0000 0.0000
Er1 0.5000 0.5000 0.7467
Zn1 0.0000 0.5000 0.3685
As1 0.0000 0.0000 0.5466
As2 0.5000 0.5000 0.1868
O1 0.0000 0.5000 0.8577
```

Top 6 peaks for 10 to 90 degrees two-theta, in order of rising 2θ:
2theta  d_spacing  I/Imax  index
30.0  2.983  100  1 0 2
33.2  2.695  27  1 1 1
37.6  2.391  40  1 1 2
45.4  1.998  34  2 0 0
52.1  1.755  30  1 1 4
55.3  1.660  37  2 1 2